Entry 1:
Starting from a crystal structure in OQMD, relaxed with GGA-PBE, the powder diffractogram of Rb2LiTaS4 was simulated for Cu Ka.

Atomic structure:
```
32
Lattice="7.1114 0.0000 0.0000 1.2662 11.4070 0.0000 0.4715 3.7445 11.3476" Properties=species:S:1:pos:R:3 pbc="T T T"
Rb 1.5411 2.0479 2.8357
Rb 2.7983 9.8275 8.2044
Rb 2.3856 4.9726 9.7177
Rb 2.7717 8.7268 3.9608
Rb 6.0774 6.4247 7.3868
Rb 6.4635 10.1789 1.6299
Rb 6.0508 5.3240 3.1432
Rb 7.3080 13.1036 8.5119
Li 2.6137 5.7092 0.8086
Li 3.8244 13.4658 6.6332
Li 5.0246 1.6856 4.7144
Li 6.2354 9.4423 10.5390
Ta 2.5376 4.9336 5.5102
Ta 3.4535 12.4676 11.1847
Ta 5.3956 2.6839 0.1629
Ta 6.3115 10.2179 5.8374
S 1.5270 11.2530 11.2884
S 0.7483 3.6345 6.0318
S 2.8379 10.5910 1.1288
S 2.5472 6.8160 6.7846
S 2.4846 5.4082 3.2791
S 3.8463 13.0428 9.0120
S 4.4686 11.4841 5.2970
S 4.2279 7.7839 10.6599
S 4.6212 7.3676 0.6877
S 4.3804 3.6674 6.0506
S 5.0028 2.1087 2.3356
S 6.3645 9.7433 8.0685
S 6.3019 8.3354 4.5630
S 6.0112 4.5605 10.2188
S 8.1008 11.5170 5.3158
S 7.3221 3.8985 0.0592
```

Largest 6 diffraction maxima, sorted by position, 10° ≤ 2θ ≤ 90°:
| Position (°2θ) | I (rel.) |
| --- | --- |
| 16.36 | 83 |
| 17.48 | 36 |
| 25.20 | 100 |
| 26.07 | 45 |
| 26.16 | 36 |
| 28.31 | 49 |


Entry 2:
Starting from a crystal structure in OQMD, relaxed with GGA-PBE, the powder diffractogram of RbLiTcSe3 was simulated for Cu Ka.

Atomic structure:
```
24
Lattice="14.4156 0.0000 0.0000 0.0000 3.6100 0.0000 0.0000 0.0000 10.7270" Properties=species:S:1:pos:R:3 pbc="T T T"
Rb 2.0124 0.9025 0.0251
Rb 5.1954 2.7075 5.3886
Rb 9.2202 0.9025 5.3384
Rb 12.4032 2.7075 10.7019
Li 2.7510 2.7075 3.0339
Li 4.4568 0.9025 8.3974
Li 9.9588 2.7075 2.3296
Li 11.6645 0.9025 7.6931
Tc 0.4897 2.7075 6.4392
Tc 6.7181 0.9025 1.0758
Tc 7.6975 2.7075 9.6512
Tc 13.9259 0.9025 4.2877
Se 0.2944 2.7075 2.5627
Se 1.7549 0.9025 5.2201
Se 2.7501 2.7075 7.9284
Se 4.4577 0.9025 2.5650
Se 5.4529 2.7075 10.5836
Se 6.9134 0.9025 7.9262
Se 7.5022 2.7075 2.8008
Se 8.9627 0.9025 0.1433
Se 9.9579 2.7075 8.1620
Se 11.6654 0.9025 2.7985
Se 12.6607 2.7075 5.5068
Se 14.1212 0.9025 8.1643
```

Largest 6 diffraction maxima, sorted by position, 10° ≤ 2θ ≤ 90°:
| Position (°2θ) | I (rel.) |
| --- | --- |
| 10.28 | 91 |
| 29.87 | 55 |
| 32.37 | 100 |
| 35.35 | 52 |
| 37.54 | 60 |
| 45.34 | 51 |


Entry 3:
Starting from a crystal structure in OQMD, relaxed with GGA-PBE, the powder diffractogram of RbLiTbTe3 was simulated for Cu Ka.

Atomic structure:
```
24
Lattice="11.7966 0.0000 0.0000 0.0000 4.7910 0.0000 0.0000 0.0000 13.9592" Properties=species:S:1:pos:R:3 pbc="T T T"
Rb 1.9221 1.1977 0.1829
Rb 3.9762 3.5932 7.1625
Rb 7.8204 1.1977 6.7966
Rb 9.8745 3.5932 13.7762
Li 2.5571 1.1977 10.0159
Li 3.3412 3.5932 3.0363
Li 8.4554 1.1977 10.9228
Li 9.2395 3.5932 3.9432
Tb 0.1169 1.1977 4.7709
Tb 5.7814 3.5932 11.7505
Tb 6.0152 1.1977 2.2087
Tb 11.6797 3.5932 9.1883
Te 0.4955 3.5932 2.7411
Te 1.3123 1.1977 7.6685
Te 2.5632 3.5932 11.1527
Te 3.3351 1.1977 4.1731
Te 4.5860 3.5932 0.6890
Te 5.4028 1.1977 9.7207
Te 6.3938 3.5932 4.2385
Te 7.2105 1.1977 13.2702
Te 8.4615 3.5932 9.7861
Te 9.2334 1.1977 2.8065
Te 10.4843 3.5932 6.2906
Te 11.3011 1.1977 11.2180
```

Largest 6 diffraction maxima, sorted by position, 10° ≤ 2θ ≤ 90°:
| Position (°2θ) | I (rel.) |
| --- | --- |
| 23.76 | 42 |
| 27.17 | 100 |
| 32.12 | 83 |
| 32.64 | 93 |
| 32.97 | 59 |
| 37.55 | 62 |


Entry 4:
Starting from a crystal structure in OQMD, relaxed with GGA-PBE, the powder diffractogram of RbLiUTe3 was simulated for Cu Ka.

Atomic structure:
```
12
Lattice="2.2555 -7.9430 0.0000 2.2555 7.9430 0.0000 0.0000 0.0000 11.7215" Properties=species:S:1:pos:R:3 pbc="T T T"
Rb 2.2555 4.0797 8.7911
Rb 2.2555 -4.0797 2.9304
Li 2.2555 7.3148 2.9304
Li 2.2555 -7.3148 8.7911
U 2.2555 0.0000 0.0000
U 2.2555 0.0000 5.8607
Te 2.2555 5.9202 0.5664
Te 2.2555 5.9202 5.2943
Te 2.2555 0.9228 2.9304
Te 2.2555 -0.9228 8.7911
Te 2.2555 -5.9202 6.4271
Te 2.2555 -5.9202 11.1551
```

Largest 6 diffraction maxima, sorted by position, 10° ≤ 2θ ≤ 90°:
| Position (°2θ) | I (rel.) |
| --- | --- |
| 11.14 | 79 |
| 25.95 | 100 |
| 27.06 | 53 |
| 30.16 | 59 |
| 30.51 | 41 |
| 37.89 | 56 |


Entry 5:
Starting from a crystal structure in OQMD, relaxed with GGA-PBE, the powder diffractogram of LiTlReS3 was simulated for Cu Ka.

Atomic structure:
```
12
Lattice="1.7793 -6.9491 0.0000 1.7793 6.9491 0.0000 0.0000 0.0000 9.3842" Properties=species:S:1:pos:R:3 pbc="T T T"
Li 1.7793 6.2480 7.0381
Li 1.7793 -6.2480 2.3460
Tl 1.7793 3.7303 2.3460
Tl 1.7793 -3.7303 7.0381
Re 1.7793 0.0000 0.0000
Re 1.7793 0.0000 4.6921
S 1.7793 5.3181 4.9717
S 1.7793 5.3181 9.1046
S 1.7793 0.7672 7.0381
S 1.7793 -0.7672 2.3460
S 1.7793 -5.3181 0.2796
S 1.7793 -5.3181 4.4125
```

Largest 6 diffraction maxima, sorted by position, 10° ≤ 2θ ≤ 90°:
| Position (°2θ) | I (rel.) |
| --- | --- |
| 22.87 | 100 |
| 25.64 | 28 |
| 27.56 | 32 |
| 31.71 | 33 |
| 33.15 | 34 |
| 45.71 | 32 |


Entry 6:
Starting from a crystal structure in OQMD, relaxed with GGA-PBE, the powder diffractogram of Li2YRe was simulated for Cu Ka.

Atomic structure:
```
16
Lattice="6.6444 0.0000 0.0000 0.0000 6.6444 0.0000 0.0000 0.0000 6.6444" Properties=species:S:1:pos:R:3 pbc="T T T"
Li 0.0000 0.0000 0.0000
Li 0.0000 3.3222 3.3222
Li 1.6611 1.6611 1.6611
Li 1.6611 4.9833 4.9833
Li 3.3222 0.0000 3.3222
Li 3.3222 3.3222 0.0000
Li 4.9833 1.6611 4.9833
Li 4.9833 4.9833 1.6611
Y 1.6611 1.6611 4.9833
Y 1.6611 4.9833 1.6611
Y 4.9833 1.6611 1.6611
Y 4.9833 4.9833 4.9833
Re 0.0000 0.0000 3.3222
Re 0.0000 3.3222 0.0000
Re 3.3222 0.0000 0.0000
Re 3.3222 3.3222 3.3222
```

Largest 6 diffraction maxima, sorted by position, 10° ≤ 2θ ≤ 90°:
| Position (°2θ) | I (rel.) |
| --- | --- |
| 23.19 | 100 |
| 38.32 | 85 |
| 45.26 | 51 |
| 60.76 | 21 |
| 69.28 | 30 |
| 86.69 | 16 |


Entry 7:
Starting from a crystal structure in OQMD, relaxed with GGA-PBE, the powder diffractogram of Li2Ta2SeS3 was simulated for Cu Ka.

Atomic structure:
```
8
Lattice="3.3811 0.0000 0.0000 -1.6905 2.9281 0.0000 0.0000 0.0000 13.0968" Properties=species:S:1:pos:R:3 pbc="T T T"
Li 0.0000 0.0000 0.0000
Li 0.0000 0.0000 6.4058
Ta 0.0000 0.0000 3.2446
Ta 0.0000 0.0000 9.9048
Se 0.0000 1.9521 8.1827
S 0.0000 1.9521 11.4673
S 1.6906 0.9760 1.6739
S 1.6906 0.9760 4.8170
```

Largest 6 diffraction maxima, sorted by position, 10° ≤ 2θ ≤ 90°:
| Position (°2θ) | I (rel.) |
| --- | --- |
| 13.52 | 100 |
| 30.53 | 28 |
| 33.52 | 68 |
| 41.37 | 72 |
| 56.19 | 22 |
| 70.45 | 21 |


Entry 8:
Starting from a crystal structure in OQMD, relaxed with GGA-PBE, the powder diffractogram of Li3TaSe3S was simulated for Cu Ka.

Atomic structure:
```
8
Lattice="4.3240 2.4965 3.5989 -4.3240 2.4965 3.5989 0.0000 -4.9929 3.5989" Properties=species:S:1:pos:R:3 pbc="T T T"
Li 0.0000 -2.4362 3.5989
Li -2.1098 1.2181 3.5989
Li 2.1098 1.2181 3.5989
Ta 0.0000 0.0000 1.7535
Se -2.3460 -1.3544 8.1680
Se 2.3460 -1.3544 8.1680
Se 0.0000 2.7089 8.1680
S 0.0000 0.0000 4.0360
```

Largest 6 diffraction maxima, sorted by position, 10° ≤ 2θ ≤ 90°:
| Position (°2θ) | I (rel.) |
| --- | --- |
| 14.39 | 100 |
| 20.28 | 44 |
| 25.17 | 49 |
| 35.82 | 21 |
| 41.23 | 26 |
| 41.78 | 26 |


Entry 9:
Starting from a crystal structure in OQMD, relaxed with GGA-PBE, the powder diffractogram of LiTaSeS was simulated for Cu Ka.

Atomic structure:
```
8
Lattice="3.4227 0.0000 0.0000 -1.7114 2.9642 0.0000 0.0000 0.0000 13.2639" Properties=species:S:1:pos:R:3 pbc="T T T"
Li 0.0000 0.0000 0.0000
Li 0.0000 0.0000 6.6320
Ta 0.0000 0.0000 3.1752
Ta 0.0000 0.0000 10.0887
Se 0.0000 1.9761 4.8843
Se 1.7114 0.9881 8.3796
S 0.0000 1.9761 1.6268
S 1.7114 0.9881 11.6371
```

Largest 6 diffraction maxima, sorted by position, 10° ≤ 2θ ≤ 90°:
| Position (°2θ) | I (rel.) |
| --- | --- |
| 13.35 | 100 |
| 30.15 | 23 |
| 33.10 | 67 |
| 40.83 | 73 |
| 53.55 | 25 |
| 55.44 | 22 |


Entry 10:
Starting from a crystal structure in OQMD, relaxed with GGA-PBE, the powder diffractogram of LiU2S6 was simulated for Cu Ka.

Atomic structure:
```
9
Lattice="-1.8841 2.5871 9.4132 1.8841 -2.5871 9.4132 1.8841 2.5871 -9.4132" Properties=species:S:1:pos:R:3 pbc="T T T"
Li 0.0000 0.0000 0.0000
U 1.8841 0.0000 6.1810
U 0.0000 2.5871 3.2322
S 1.8841 1.2418 -1.7656
S 0.0000 0.0000 4.2153
S 1.8841 1.2418 1.7656
S 0.0000 1.3453 7.6476
S 0.0000 0.0000 14.6111
S 0.0000 1.3453 11.1788
```

Largest 6 diffraction maxima, sorted by position, 10° ≤ 2θ ≤ 90°:
| Position (°2θ) | I (rel.) |
| --- | --- |
| 22.27 | 100 |
| 27.61 | 69 |
| 29.33 | 60 |
| 33.65 | 45 |
| 41.31 | 54 |
| 44.89 | 47 |


Entry 11:
Starting from a crystal structure in OQMD, relaxed with GGA-PBE, the powder diffractogram of Li2WS3 was simulated for Cu Ka.

Atomic structure:
```
12
Lattice="3.0802 -5.1270 0.0000 3.0802 5.1270 0.0000 -1.9239 0.0000 6.0636" Properties=species:S:1:pos:R:3 pbc="T T T"
Li 0.0000 0.0000 0.0000
Li 2.1182 3.2974 3.0318
Li 2.1182 0.0000 3.0318
Li 2.1182 -3.2974 3.0318
W 3.0802 1.3622 0.0000
W 3.0802 -1.3622 0.0000
S 1.1010 1.7990 1.3303
S 0.1095 0.0000 4.4509
S 1.1010 -1.7990 1.3303
S 3.1355 1.7990 4.7333
S 4.1270 0.0000 1.6127
S 3.1355 -1.7990 4.7333
```

Largest 6 diffraction maxima, sorted by position, 10° ≤ 2θ ≤ 90°:
| Position (°2θ) | I (rel.) |
| --- | --- |
| 14.61 | 100 |
| 17.40 | 54 |
| 19.60 | 45 |
| 35.55 | 28 |
| 35.78 | 42 |
| 46.40 | 21 |


Entry 12:
Starting from a crystal structure in OQMD, relaxed with GGA-PBE, the powder diffractogram of Li2ZrS3 was simulated for Cu Ka.

Atomic structure:
```
24
Lattice="12.0697 0.0000 0.0000 0.0000 3.6943 0.0000 0.0000 0.0000 10.4925" Properties=species:S:1:pos:R:3 pbc="T T T"
Li 0.2323 0.9236 0.9019
Li 2.8684 2.7707 9.7938
Li 3.1665 0.9236 4.5476
Li 5.8026 2.7707 6.1482
Li 6.2671 0.9236 4.3443
Li 8.9032 2.7707 5.9450
Li 9.2014 0.9236 0.6987
Li 11.8374 2.7707 9.5906
Zr 0.0233 0.9236 6.9693
Zr 6.0116 2.7707 1.7231
Zr 6.0581 0.9236 8.7695
Zr 12.0465 2.7707 3.5232
S 1.2340 0.9236 9.1888
S 1.4652 2.7707 5.8059
S 1.5548 0.9236 2.7756
S 4.4801 2.7707 8.0218
S 4.5697 0.9236 0.5596
S 4.8009 2.7707 3.9426
S 7.2688 0.9236 6.5500
S 7.5000 2.7707 9.9329
S 7.5897 0.9236 2.4707
S 10.5149 2.7707 7.7170
S 10.6045 0.9236 4.6867
S 10.8358 2.7707 1.3037
```

Largest 6 diffraction maxima, sorted by position, 10° ≤ 2θ ≤ 90°:
| Position (°2θ) | I (rel.) |
| --- | --- |
| 11.17 | 81 |
| 14.68 | 100 |
| 29.58 | 76 |
| 33.98 | 37 |
| 37.22 | 48 |
| 48.25 | 39 |


What did the fifth record say?
Starting from a crystal structure in OQMD, relaxed with GGA-PBE, the powder diffractogram of LiTlReS3 was simulated for Cu Ka.

Atomic structure:
```
12
Lattice="1.7793 -6.9491 0.0000 1.7793 6.9491 0.0000 0.0000 0.0000 9.3842" Properties=species:S:1:pos:R:3 pbc="T T T"
Li 1.7793 6.2480 7.0381
Li 1.7793 -6.2480 2.3460
Tl 1.7793 3.7303 2.3460
Tl 1.7793 -3.7303 7.0381
Re 1.7793 0.0000 0.0000
Re 1.7793 0.0000 4.6921
S 1.7793 5.3181 4.9717
S 1.7793 5.3181 9.1046
S 1.7793 0.7672 7.0381
S 1.7793 -0.7672 2.3460
S 1.7793 -5.3181 0.2796
S 1.7793 -5.3181 4.4125
```

Largest 6 diffraction maxima, sorted by position, 10° ≤ 2θ ≤ 90°:
| Position (°2θ) | I (rel.) |
| --- | --- |
| 22.87 | 100 |
| 25.64 | 28 |
| 27.56 | 32 |
| 31.71 | 33 |
| 33.15 | 34 |
| 45.71 | 32 |